[1]
For CaZrHg2, the GGA-PBE geometry in Alexandria gives the simulated X-ray diffraction stick pattern in this record (Cu Kα).

Crystal structure
```
4
Lattice="5.0853 0.0000 0.0000 0.0000 3.4959 0.0000 -2.0092 0.0000 5.8273" Properties=species:S:1:pos:R:3 pbc="T T T"
Ca 0.0000 0.0000 0.0000
Zr 1.5380 1.7480 2.9136
Hg -1.0046 0.0000 2.9136
Hg 2.5426 1.7480 0.0000
```

Top 10 peaks for 15 to 90 degrees two-theta, in order of falling intensity:
2.827 Å, 2θ 31.65, I = 100; 2.914 Å, 2θ 30.69, I = 54; 2.257 Å, 2θ 39.95, I = 53; 4.497 Å, 2θ 19.74, I = 36; 2.404 Å, 2θ 37.41, I = 32; 1.859 Å, 2θ 49.01, I = 30; 2.998 Å, 2θ 29.80, I = 28; 2.249 Å, 2θ 40.10, I = 26; 1.457 Å, 2θ 63.90, I = 20; 3.228 Å, 2θ 27.64, I = 17

[2]
For CsTm2CuCl8, the GGA-PBE geometry in Alexandria gives the simulated X-ray diffraction stick pattern in this record (Cu Kα).

Crystal structure
```
12
Lattice="6.5791 0.0000 0.0000 -1.8902 7.7780 0.0000 -2.3607 -3.2909 7.9407" Properties=species:S:1:pos:R:3 pbc="T T T"
Cs 0.0000 0.0000 0.0000
Tm -2.2663 4.2529 3.9007
Tm 4.5946 0.2342 4.0399
Cu -0.9451 3.8890 0.0000
Cl -1.6135 0.1504 6.7479
Cl -0.5424 2.3349 3.3154
Cl 0.3171 -0.9659 3.5380
Cl -1.2511 4.4494 6.1535
Cl 3.5793 0.0377 1.7872
Cl 2.0111 5.4530 4.4027
Cl 2.8707 2.1522 4.6253
Cl 3.9418 4.3367 1.1928
```

Top 10 peaks for 15 to 90 degrees two-theta, in order of falling intensity:
3.878 Å, 2θ 22.93, I = 100; 3.970 Å, 2θ 22.39, I = 95; 2.863 Å, 2θ 31.25, I = 83; 2.998 Å, 2θ 29.80, I = 54; 2.677 Å, 2θ 33.48, I = 50; 2.688 Å, 2θ 33.34, I = 49; 4.046 Å, 2θ 21.97, I = 45; 2.548 Å, 2θ 35.23, I = 43; 3.144 Å, 2θ 28.39, I = 38; 3.581 Å, 2θ 24.86, I = 37

[3]
For Hg, the GGA-PBE geometry in Alexandria gives the simulated X-ray diffraction stick pattern in this record (Cu Kα).

Crystal structure
```
12
Lattice="9.1134 0.0000 0.0000 -4.5567 7.8924 0.0000 0.0000 0.0000 5.3887" Properties=species:S:1:pos:R:3 pbc="T T T"
Hg -2.9181 6.6120 1.3472
Hg -1.7853 4.7037 4.0416
Hg 0.2896 2.0592 1.3472
Hg 1.9281 0.7788 4.0416
Hg 1.3758 3.9945 4.0416
Hg 0.4095 7.0867 4.0416
Hg 4.1472 0.8057 1.3472
Hg 3.1809 3.8980 1.3472
Hg 2.6286 7.1136 1.3472
Hg 4.2671 5.8332 4.0416
Hg 6.3420 3.1888 1.3472
Hg 7.4748 1.2804 4.0416
```

Top 10 peaks for 15 to 90 degrees two-theta, in order of falling intensity:
2.610 Å, 2θ 34.36, I = 100; 3.184 Å, 2θ 28.03, I = 31; 2.694 Å, 2θ 33.25, I = 29; 2.983 Å, 2θ 29.95, I = 22; 1.539 Å, 2θ 60.13, I = 20; 1.451 Å, 2θ 64.18, I = 16; 2.000 Å, 2θ 45.36, I = 14; 1.722 Å, 2θ 53.18, I = 14; 2.631 Å, 2θ 34.08, I = 11; 1.437 Å, 2θ 64.86, I = 11

[4]
For RbSiSe2O8, the GGA-PBE geometry in Alexandria gives the simulated X-ray diffraction stick pattern in this record (Cu Kα).

Crystal structure
```
12
Lattice="4.1043 -2.7555 0.0000 4.1043 2.7555 0.0000 -0.6682 0.0000 8.3304" Properties=species:S:1:pos:R:3 pbc="T T T"
Rb 0.0000 0.0000 0.0000
Si -0.3341 0.0000 4.1652
Se 2.6575 0.0000 5.6236
Se 4.8829 0.0000 2.7068
O 3.5812 1.5568 5.4947
O 1.4745 0.0000 4.3751
O 3.9592 1.5568 2.8357
O 2.0833 0.0000 7.1676
O 5.4571 0.0000 1.1628
O 3.5812 -1.5568 5.4947
O 6.0659 0.0000 3.9553
O 3.9592 -1.5568 2.8357
```

Top 10 peaks for 15 to 90 degrees two-theta, in order of falling intensity:
3.934 Å, 2θ 22.60, I = 100; 3.150 Å, 2θ 28.34, I = 81; 3.794 Å, 2θ 23.45, I = 42; 2.444 Å, 2θ 36.77, I = 38; 2.755 Å, 2θ 32.49, I = 34; 2.230 Å, 2θ 40.46, I = 31; 4.090 Å, 2θ 21.73, I = 29; 2.777 Å, 2θ 32.24, I = 22; 3.561 Å, 2θ 25.00, I = 16; 3.012 Å, 2θ 29.66, I = 15

[5]
For LiCu6OF11, the GGA-PBE geometry in Alexandria gives the simulated X-ray diffraction stick pattern in this record (Cu Kα).

Crystal structure
```
19
Lattice="4.8411 0.0000 0.0000 0.2108 5.4429 0.0000 0.5508 0.6808 8.2303" Properties=species:S:1:pos:R:3 pbc="T T T"
Li 0.0000 0.0000 0.0000
Cu 0.2510 2.1012 1.5451
Cu 2.7673 3.0298 4.1472
Cu 2.9549 1.1992 6.7977
Cu 2.7472 4.6427 1.2643
Cu 5.2564 3.9926 6.8123
Cu 5.3137 5.7184 4.0529
O 4.0082 5.1710 7.6721
F 1.0398 3.6911 0.7339
F 1.4828 5.6012 6.3843
F 1.2270 1.8791 3.4559
F 1.9296 2.8709 6.0905
F 1.5366 0.9355 0.6325
F 1.9037 4.6448 3.2807
F 3.5850 3.0691 2.2283
F 3.6990 1.3839 4.8067
F 4.3531 4.1641 4.7630
F 4.4603 2.3691 7.4835
F 4.1005 0.3875 1.8636
```

Top 10 peaks for 15 to 90 degrees two-theta, in order of falling intensity:
3.487 Å, 2θ 25.54, I = 100; 3.267 Å, 2θ 27.30, I = 91; 2.743 Å, 2θ 32.64, I = 52; 2.678 Å, 2θ 33.47, I = 40; 2.515 Å, 2θ 35.70, I = 26; 2.607 Å, 2θ 34.41, I = 25; 1.786 Å, 2θ 51.16, I = 23; 1.744 Å, 2θ 52.48, I = 21; 1.578 Å, 2θ 58.50, I = 18; 1.880 Å, 2θ 48.42, I = 16

[6]
For Pm2Al4Cu5, the GGA-PBE geometry in Alexandria gives the simulated X-ray diffraction stick pattern in this record (Cu Kα).

Crystal structure
```
11
Lattice="0.0000 4.7586 7.4209 2.7664 0.0000 7.4209 2.7664 4.7586 0.0000" Properties=species:S:1:pos:R:3 pbc="T T T"
Pm 2.7664 4.7586 2.0704
Pm 2.7664 4.7586 12.7714
Al 2.7664 3.2640 5.5119
Al 2.7664 3.2640 9.3299
Al 2.7664 6.2533 5.5119
Al 2.7664 6.2533 9.3299
Cu 1.3832 2.3793 0.0000
Cu 1.3832 2.3793 3.7105
Cu 1.3832 2.3793 7.4209
Cu 2.7664 4.7586 7.4209
Cu 4.1497 7.1380 11.1314
```

Top 10 peaks for 15 to 90 degrees two-theta, in order of falling intensity:
3.439 Å, 2θ 25.91, I = 100; 2.392 Å, 2θ 37.61, I = 86; 2.926 Å, 2θ 30.55, I = 82; 2.405 Å, 2θ 37.39, I = 80; 2.218 Å, 2θ 40.68, I = 67; 2.379 Å, 2θ 37.81, I = 38; 1.466 Å, 2θ 63.46, I = 27; 2.706 Å, 2θ 33.10, I = 25; 1.855 Å, 2θ 49.11, I = 25; 1.376 Å, 2θ 68.14, I = 24

[7]
For Tb3Si6Ni2Pd, the GGA-PBE geometry in Alexandria gives the simulated X-ray diffraction stick pattern in this record (Cu Kα).

Crystal structure
```
12
Lattice="5.6904 0.0000 0.0000 -2.8452 4.9281 0.0000 0.0000 0.0000 7.8564" Properties=species:S:1:pos:R:3 pbc="T T T"
Tb 0.0000 0.0000 0.0000
Tb 0.0000 3.2854 4.8314
Tb 2.8452 1.6427 3.0250
Si 0.0000 1.8825 2.1879
Si -1.2149 3.9868 2.1879
Si 1.6303 0.9413 5.6685
Si 1.2149 3.9868 2.1879
Si 4.0601 0.9413 5.6685
Si 2.8452 3.0455 5.6685
Ni 0.0000 3.2854 0.3229
Ni 2.8452 1.6427 7.5336
Pd 0.0000 0.0000 3.9282
```

Top 10 peaks for 15 to 90 degrees two-theta, in order of falling intensity:
2.845 Å, 2θ 31.44, I = 100; 3.072 Å, 2θ 29.07, I = 70; 2.304 Å, 2θ 39.09, I = 53; 2.087 Å, 2θ 43.35, I = 39; 2.351 Å, 2θ 38.28, I = 25; 1.825 Å, 2θ 49.99, I = 24; 1.683 Å, 2θ 54.52, I = 22; 1.352 Å, 2θ 69.56, I = 21; 4.175 Å, 2θ 21.28, I = 20; 1.423 Å, 2θ 65.63, I = 19

[8]
For As, the GGA-PBE geometry in Alexandria gives the simulated X-ray diffraction stick pattern in this record (Cu Kα).

Crystal structure
```
16
Lattice="5.8824 0.0000 0.0000 0.0000 5.8842 0.0000 0.0000 0.0000 11.2088" Properties=species:S:1:pos:R:3 pbc="T T T"
As 0.7544 0.3069 0.2536
As 1.0694 5.4361 9.0492
As 1.1879 2.6843 10.7122
As 1.3237 1.9719 8.2910
As 1.6175 3.9123 2.6866
As 1.7533 3.2000 5.1078
As 1.8718 0.4481 3.4448
As 2.1868 5.5774 5.8580
As 3.6956 2.6353 10.9552
As 4.0106 3.3903 2.1596
As 4.1290 0.2579 0.4966
As 4.2649 0.9702 2.9178
As 4.5587 4.9141 8.5222
As 4.6945 5.6264 6.1010
As 4.8130 2.4940 7.7639
As 5.1280 3.2490 5.3508
```

Top 10 peaks for 15 to 90 degrees two-theta, in order of falling intensity:
2.845 Å, 2θ 31.44, I = 100; 2.941 Å, 2θ 30.39, I = 75; 2.530 Å, 2θ 35.48, I = 62; 2.045 Å, 2θ 44.29, I = 47; 2.802 Å, 2θ 31.94, I = 41; 3.900 Å, 2θ 22.80, I = 34; 2.605 Å, 2θ 34.43, I = 33; 1.705 Å, 2θ 53.75, I = 30; 5.209 Å, 2θ 17.02, I = 28; 3.154 Å, 2θ 28.29, I = 25

[9]
For Ac3Mg9Pd2, the GGA-PBE geometry in Alexandria gives the simulated X-ray diffraction stick pattern in this record (Cu Kα).

Crystal structure
```
14
Lattice="-2.5602 5.5000 6.4795 2.5602 -5.5000 6.4795 2.5602 5.5000 -6.4795" Properties=species:S:1:pos:R:3 pbc="T T T"
Ac 0.0000 0.0000 0.0000
Ac 0.0000 0.0000 3.8818
Ac 0.0000 0.0000 9.0771
Mg 2.5602 1.5944 -1.8076
Mg 2.5602 -2.3917 4.8637
Mg 2.5602 1.5944 1.8076
Mg 0.0000 3.1083 1.6158
Mg 0.0000 5.5000 0.0000
Mg 2.5602 2.3917 4.8637
Mg 0.0000 3.9055 4.6719
Mg 0.0000 7.8917 1.6158
Mg 0.0000 3.9055 8.2871
Pd 2.5602 3.6795 0.0000
Pd 0.0000 1.8205 6.4795
```

Top 10 peaks for 15 to 90 degrees two-theta, in order of falling intensity:
4.642 Å, 2θ 19.12, I = 100; 2.831 Å, 2θ 31.61, I = 77; 2.795 Å, 2θ 32.03, I = 54; 1.888 Å, 2θ 48.21, I = 35; 5.500 Å, 2θ 16.12, I = 34; 2.560 Å, 2θ 35.05, I = 32; 2.657 Å, 2θ 33.74, I = 32; 2.981 Å, 2θ 29.97, I = 26; 4.021 Å, 2θ 22.11, I = 25; 2.113 Å, 2θ 42.80, I = 21

[10]
For CsPH2O4, the GGA-PBE geometry in Alexandria gives the simulated X-ray diffraction stick pattern in this record (Cu Kα).

Crystal structure
```
32
Lattice="4.9514 0.0000 0.0000 0.0000 6.4575 0.0000 -4.4012 0.0000 15.4392" Properties=species:S:1:pos:R:3 pbc="T T T"
Cs -0.5847 1.6036 5.9296
Cs -2.7853 1.6251 13.6492
Cs 3.3355 4.8323 1.7900
Cs 1.1349 4.8539 9.5096
P -1.3003 1.5489 9.7700
P 0.9003 1.6799 2.0504
P -0.3500 4.7776 13.3888
P 1.8506 4.9086 5.6692
H -3.2179 4.8129 14.2511
H -1.0172 4.8734 6.5315
H 1.2643 0.0857 3.6641
H -0.9363 3.1430 11.3837
H 1.4865 3.3145 4.0555
H -0.7141 6.3718 11.7751
H 1.5675 1.5841 8.9077
H 3.7681 1.6446 1.1881
O -2.4027 1.6027 8.6229
O -0.2021 1.6261 0.9033
O 0.6364 0.3282 2.8542
O -1.5642 2.9006 10.5738
O -1.5543 0.3344 10.6684
O 0.6463 2.8944 2.9488
O -1.6923 4.8017 14.0933
O 0.5083 4.8845 6.3737
O 0.0420 1.5730 9.0655
O 2.2426 1.6558 1.3459
O -0.0960 3.5631 12.4904
O 2.1046 6.1231 4.7708
O 2.1144 3.5569 4.8654
O -0.0862 6.1293 12.5850
O 0.7524 4.8314 14.5359
O 2.9530 4.8548 6.8163
```

Top 10 peaks for 15 to 90 degrees two-theta, in order of falling intensity:
3.832 Å, 2θ 23.21, I = 100; 3.860 Å, 2θ 23.04, I = 51; 3.081 Å, 2θ 28.98, I = 50; 3.229 Å, 2θ 27.63, I = 33; 2.476 Å, 2θ 36.28, I = 32; 2.462 Å, 2θ 36.50, I = 24; 4.953 Å, 2θ 17.91, I = 21; 2.655 Å, 2θ 33.76, I = 19; 2.392 Å, 2θ 37.61, I = 17; 2.013 Å, 2θ 45.04, I = 17

[11]
For Dy2Ho5Cd, the GGA-PBE geometry in Alexandria gives the simulated X-ray diffraction stick pattern in this record (Cu Kα).

Crystal structure
```
8
Lattice="5.4656 -4.0388 0.0000 5.4656 4.0388 0.0000 -4.9389 0.0000 5.4419" Properties=species:S:1:pos:R:3 pbc="T T T"
Dy 0.0000 0.0000 0.0000
Dy -2.4618 0.0000 2.7232
Ho 0.4568 1.8104 2.8251
Ho 0.4568 -1.8104 2.8251
Ho 3.1376 1.8110 5.2706
Ho 3.3500 0.0000 2.3410
Ho 3.1376 -1.8110 5.2706
Cd 5.4222 0.0000 0.0500
```

Top 10 peaks for 15 to 90 degrees two-theta, in order of falling intensity:
2.719 Å, 2θ 32.94, I = 100; 2.859 Å, 2θ 31.29, I = 59; 1.622 Å, 2θ 56.74, I = 34; 2.022 Å, 2θ 44.84, I = 20; 1.546 Å, 2θ 59.84, I = 13; 2.531 Å, 2θ 35.47, I = 9; 1.654 Å, 2θ 55.56, I = 8; 3.245 Å, 2θ 27.49, I = 7; 1.837 Å, 2θ 49.62, I = 7; 1.359 Å, 2θ 69.10, I = 6

[12]
For Er3Hg2Pd8, the GGA-PBE geometry in Alexandria gives the simulated X-ray diffraction stick pattern in this record (Cu Kα).

Crystal structure
```
13
Lattice="2.6917 1.5541 10.2009 -2.6917 1.5541 10.2009 0.0000 -3.1081 10.2009" Properties=species:S:1:pos:R:3 pbc="T T T"
Er 0.0000 0.0000 0.0000
Er 0.0000 0.0000 5.7714
Er 0.0000 0.0000 24.8313
Hg 0.0000 0.0000 11.1470
Hg 0.0000 0.0000 19.4556
Pd -1.3563 -0.7830 17.1630
Pd 0.0000 -1.5661 13.4397
Pd -1.3563 0.7830 13.4397
Pd 0.0000 0.0000 8.4992
Pd 0.0000 0.0000 22.1034
Pd 1.3563 -0.7830 17.1629
Pd 0.0000 1.5661 17.1629
Pd 1.3563 0.7830 13.4397
```

Top 10 peaks for 15 to 90 degrees two-theta, in order of falling intensity:
2.389 Å, 2θ 37.65, I = 100; 2.692 Å, 2θ 33.29, I = 68; 1.488 Å, 2θ 62.39, I = 55; 2.305 Å, 2θ 39.09, I = 50; 2.381 Å, 2θ 37.79, I = 41; 2.178 Å, 2θ 41.45, I = 38; 1.346 Å, 2θ 69.89, I = 31; 2.603 Å, 2θ 34.46, I = 24; 3.709 Å, 2θ 23.99, I = 21; 1.173 Å, 2θ 82.21, I = 21

[13]
For Co7Rh, the GGA-PBE geometry in Alexandria gives the simulated X-ray diffraction stick pattern in this record (Cu Kα).

Crystal structure
```
8
Lattice="5.0903 0.0000 0.0000 -2.5452 4.4083 0.0000 0.0000 0.0000 4.0784" Properties=species:S:1:pos:R:3 pbc="T T T"
Co 0.0000 0.0000 0.0000
Co -1.2334 2.2268 0.0000
Co 0.0000 1.4713 2.0392
Co -1.2710 3.6727 2.0392
Co 1.2334 2.2268 0.0000
Co 0.0000 4.3631 0.0000
Co 1.2710 3.6727 2.0392
Rh 2.5452 1.4694 2.0392
```

Top 10 peaks for 15 to 90 degrees two-theta, in order of falling intensity:
1.939 Å, 2θ 46.85, I = 100; 2.039 Å, 2θ 44.43, I = 26; 2.204 Å, 2θ 40.94, I = 26; 1.157 Å, 2θ 83.56, I = 16; 1.273 Å, 2θ 74.57, I = 15; 1.497 Å, 2θ 62.00, I = 14; 2.994 Å, 2θ 29.84, I = 4; 4.408 Å, 2θ 20.14, I = 3; 1.102 Å, 2θ 88.78, I = 2; 2.159 Å, 2θ 41.84, I = 1